Starting from a GGA-PBE-relaxed structure, the powder diffraction line list of SeSO6 was simulated for Cu Kα.

Cell and atoms:
Unit cell a=4.822 b=4.822 c=4.702 alpha=118.79 beta=118.79 gamma=61.90
Element x y z (fractional)
Se  0.000  0.000  0.000
S  0.500  0.500  0.500
O  0.192  0.660  0.659
O  0.273  0.273  0.136
O  0.340  0.808  0.341
O  0.660  0.192  0.659
O  0.727  0.727  0.864
O  0.808  0.340  0.341

Top 10 peaks for 10° ≤ 2θ ≤ 90°, low angle first:
2θ/deg  intensity
22.13  6
26.09  100
37.09  12
37.33  13
43.26  10
44.28  8
53.72  13
60.37  7
60.48  7
60.81  9